(1)
The following is a calculated XRD peak list of YTmTe3. It was derived from the GGA-PBE geometry in Alexandria, using Cu Kα.

Structural model:
Lattice parameters (Å, degrees): 7.6470 7.6470 20.9795 90.00 90.00 120.00
Space group R-3 (No. 148, hexagonal axes)
Asymmetric unit:
Y 0.0000 0.0000 0.1572
Tm 0.0000 0.0000 0.3422
Te 0.0023 0.3157 0.2510

The 10 most intense peaks (2θ from 5° to 70°), by angle:
2theta	I (rel.)
15.8	27
21.6	18
26.6	100
32.0	15
34.8	85
40.9	56
45.6	23
49.4	17
54.7	22
68.5	20

***

(2)
The following is a calculated XRD peak list of PmSmDy6Er2. It was derived from the GGA-PBE geometry in Alexandria, using Cu Kα.

Structural model:
Lattice parameters (Å, degrees): 9.1123 14.9787 9.5406 90.00 97.20 90.00
Space group C2/c (No. 15)
Asymmetric unit:
Pm 0.0000 0.0923 0.2500
Sm 0.0000 0.4724 0.7500
Dy 0.0645 0.3171 0.4435
Dy 0.0984 0.1085 0.6189
Dy 0.2058 0.2731 0.8187
Er 0.2477 0.4485 0.0465

The 10 most intense peaks (2θ from 5° to 70°), by angle:
2theta	I (rel.)
28.2	14
28.6	38
30.6	57
30.8	44
31.4	100
31.7	35
32.5	24
34.0	42
34.7	15
37.8	16

***

(3)
The following is a calculated XRD peak list of K4Zr3UTe8. It was derived from the GGA-PBE geometry in Alexandria, using Cu Kα.

Structural model:
Lattice parameters (Å, degrees): 8.4855 8.4855 25.2999 90.00 90.00 120.00
Space group R-3m (No. 166, hexagonal axes)
Asymmetric unit:
K 0.0000 0.0000 0.0000
K 0.0000 0.5000 0.0000
Zr 0.0000 0.5000 0.5000
U 0.0000 0.0000 0.5000
Te 0.0000 0.0000 0.2343
Te 0.0112 0.5056 0.7640

The 10 most intense peaks (2θ from 5° to 70°), by angle:
2theta	I (rel.)
10.5	45
28.1	100
34.8	19
37.5	36
42.6	35
46.6	14
51.8	18
58.1	10
62.1	10
69.3	14

***

(4)
The following is a calculated XRD peak list of Ac2Pm4Er5. It was derived from the GGA-PBE geometry in Alexandria, using Cu Kα.

Structural model:
Lattice parameters (Å, degrees): 3.6653 8.7197 12.0056 90.09 95.77 90.88
Space group P-1 (No. 2)
Asymmetric unit:
Ac 0.1366 0.3470 0.3950
Pm 0.0079 0.7929 0.0286
Pm 0.1015 0.7513 0.3169
Er 0.4235 0.9340 0.7924
Er 0.4598 0.5226 0.8560
Er 0.5000 0.0000 0.5000

The 10 most intense peaks (2θ from 5° to 70°), by angle:
2theta	I (rel.)
28.4	21
30.0	13
30.4	49
31.6	31
31.7	100
32.3	8
32.5	14
42.2	11
48.6	12
54.8	8

***

(5)
The following is a calculated XRD peak list of DyErTePb. It was derived from the GGA-PBE geometry in Alexandria, using Cu Kα.

Structural model:
Lattice parameters (Å, degrees): 4.3941 4.3941 6.1939 90.00 90.00 90.00
Space group P4/mmm (No. 123)
Asymmetric unit:
Dy 0.0000 0.0000 0.0000
Er 0.5000 0.5000 0.5000
Te 0.0000 0.0000 0.5000
Pb 0.5000 0.5000 0.0000

The 10 most intense peaks (2θ from 5° to 70°), by angle:
2theta	I (rel.)
14.3	2
20.2	2
28.8	100
35.5	1
41.1	77
51.0	28
59.5	9
59.7	4
67.4	24
67.6	12